Entry 1:
Computed powder diffraction line list of ZrFeSi2 for λ = 1.5418 Å (Cu Kα), from a GGA-PBE-relaxed structure.

Principal peaks in the range 2θ from 5° to 70°, low angle first:
2θ = 21.0°, I = 31; 2θ = 30.9°, I = 38; 2θ = 32.0°, I = 33; 2θ = 34.9°, I = 32; 2θ = 38.9°, I = 81; 2θ = 39.8°, I = 100; 2θ = 40.3°, I = 31; 2θ = 40.5°, I = 33; 2θ = 42.0°, I = 74; 2θ = 42.7°, I = 43; 2θ = 43.5°, I = 60; 2θ = 48.8°, I = 34

a = 9.7777 Å, b = 9.7777 Å, c = 14.2272 Å
α = 90.00°, β = 90.00°, γ = 149.55°
Fractional positions:
1 Zr 0.0350 0.9650 0.8248
2 Zr 0.1238 0.8762 0.0824
3 Zr 0.2024 0.7976 0.3173
4 Zr 0.2976 0.7024 0.8173
5 Zr 0.3762 0.6238 0.5824
6 Zr 0.4650 0.5350 0.3248
7 Zr 0.5350 0.4650 0.6752
8 Zr 0.6238 0.3762 0.4176
9 Zr 0.7024 0.2976 0.1827
10 Zr 0.7976 0.2024 0.6827
11 Zr 0.8762 0.1238 0.9176
12 Zr 0.9650 0.0350 0.1752
13 Fe 0.0000 0.5000 0.0000
14 Fe 0.0000 0.5000 0.5000
15 Fe 0.0403 0.9597 0.3769
16 Fe 0.0876 0.4124 0.2500
17 Fe 0.4124 0.0876 0.7500
18 Fe 0.4597 0.5403 0.8769
19 Fe 0.5000 0.0000 0.0000
20 Fe 0.5000 0.0000 0.5000
21 Fe 0.5403 0.4597 0.1231
22 Fe 0.5876 0.9124 0.2500
23 Fe 0.9124 0.5876 0.7500
24 Fe 0.9597 0.0403 0.6231
25 Si 0.0891 0.9109 0.6444
26 Si 0.1403 0.8597 0.4929
27 Si 0.1666 0.3334 0.7500
28 Si 0.1687 0.8313 0.8972
29 Si 0.2350 0.7650 0.6434
30 Si 0.2442 0.2442 0.0000
31 Si 0.2558 0.2558 0.5000
32 Si 0.2650 0.7350 0.1434
33 Si 0.3313 0.6687 0.3972
34 Si 0.3334 0.1666 0.2500
35 Si 0.3597 0.6403 0.9929
36 Si 0.4109 0.5891 0.1444
37 Si 0.5891 0.4109 0.8556
38 Si 0.6403 0.3597 0.0071
39 Si 0.6666 0.8334 0.7500
40 Si 0.6687 0.3313 0.6028
41 Si 0.7350 0.2650 0.8566
42 Si 0.7442 0.7442 0.5000
43 Si 0.7558 0.7558 0.0000
44 Si 0.7650 0.2350 0.3566
45 Si 0.8313 0.1687 0.1028
46 Si 0.8334 0.6666 0.2500
47 Si 0.8597 0.1403 0.5071
48 Si 0.9109 0.0891 0.3556


Entry 2:
Computed powder diffraction line list of Zr4Fe4Si7 for λ = 1.5418 Å (Cu Kα), from a GGA-PBE-relaxed structure.

Principal peaks in the range 2θ from 5° to 70°, low angle first:
2θ = 27.0°, I = 12; 2θ = 27.3°, I = 11; 2θ = 30.3°, I = 22; 2θ = 33.4°, I = 18; 2θ = 38.8°, I = 100; 2θ = 38.9°, I = 28; 2θ = 41.4°, I = 31; 2θ = 41.9°, I = 60; 2θ = 46.5°, I = 12; 2θ = 62.2°, I = 10; 2θ = 65.8°, I = 26; 2θ = 66.0°, I = 20

a = 9.5875 Å, b = 9.5875 Å, c = 9.5875 Å
α = 93.97°, β = 93.97°, γ = 149.49°
Fractional positions:
1 Zr 0.0000 0.1965 0.1965
2 Zr 0.0000 0.8035 0.8035
3 Zr 0.1965 0.0000 0.1965
4 Zr 0.3619 0.3619 0.7239
5 Zr 0.3619 0.6381 0.0000
6 Zr 0.6381 0.3619 0.0000
7 Zr 0.6381 0.6381 0.2761
8 Zr 0.8035 0.0000 0.8035
9 Fe 0.1022 0.6022 0.2043
10 Fe 0.1022 0.8978 0.5000
11 Fe 0.3978 0.6022 0.5000
12 Fe 0.3978 0.8978 0.7957
13 Fe 0.6022 0.1022 0.2043
14 Fe 0.6022 0.3978 0.5000
15 Fe 0.8978 0.1022 0.5000
16 Fe 0.8978 0.3978 0.7957
17 Si 0.0000 0.4088 0.4088
18 Si 0.0000 0.5912 0.5912
19 Si 0.1996 0.5000 0.6996
20 Si 0.2105 0.2105 0.4209
21 Si 0.2105 0.7895 0.0000
22 Si 0.2499 0.2499 0.0000
23 Si 0.4088 0.0000 0.4088
24 Si 0.5000 0.1996 0.6996
25 Si 0.5000 0.8004 0.3004
26 Si 0.5912 0.0000 0.5912
27 Si 0.7501 0.7501 0.0000
28 Si 0.7895 0.2105 0.0000
29 Si 0.7895 0.7895 0.5791
30 Si 0.8004 0.5000 0.3004


Entry 3:
Computed powder diffraction line list of Sm6Fe23 for λ = 1.5418 Å (Cu Kα), from a GGA-PBE-relaxed structure.

Principal peaks in the range 2θ from 5° to 70°, low angle first:
2θ = 25.5°, I = 25; 2θ = 29.5°, I = 19; 2θ = 32.2°, I = 21; 2θ = 36.3°, I = 29; 2θ = 38.6°, I = 79; 2θ = 42.2°, I = 100; 2θ = 44.9°, I = 15; 2θ = 54.0°, I = 16; 2θ = 58.5°, I = 10; 2θ = 62.7°, I = 19; 2θ = 65.3°, I = 21; 2θ = 66.8°, I = 11

a = 8.5714 Å, b = 8.5714 Å, c = 8.5714 Å
α = 60.00°, β = 60.00°, γ = 60.00°
Fractional positions:
1 Sm 0.2101 0.2101 0.7899
2 Sm 0.2101 0.7899 0.2101
3 Sm 0.2101 0.7899 0.7899
4 Sm 0.7899 0.2101 0.2101
5 Sm 0.7899 0.2101 0.7899
6 Sm 0.7899 0.7899 0.2101
7 Fe 0.0000 0.0000 0.5000
8 Fe 0.0000 0.5000 0.0000
9 Fe 0.0000 0.5000 0.5000
10 Fe 0.1332 0.6223 0.6223
11 Fe 0.1771 0.1771 0.1771
12 Fe 0.1771 0.1771 0.4687
13 Fe 0.1771 0.4687 0.1771
14 Fe 0.3777 0.3777 0.3777
15 Fe 0.3777 0.3777 0.8668
16 Fe 0.3777 0.8668 0.3777
17 Fe 0.4687 0.1771 0.1771
18 Fe 0.5000 0.0000 0.0000
19 Fe 0.5000 0.0000 0.5000
20 Fe 0.5000 0.5000 0.0000
21 Fe 0.5000 0.5000 0.5000
22 Fe 0.5313 0.8229 0.8229
23 Fe 0.6223 0.1332 0.6223
24 Fe 0.6223 0.6223 0.1332
25 Fe 0.6223 0.6223 0.6223
26 Fe 0.8229 0.5313 0.8229
27 Fe 0.8229 0.8229 0.5313
28 Fe 0.8229 0.8229 0.8229
29 Fe 0.8668 0.3777 0.3777


Entry 4:
Computed powder diffraction line list of SmFe12 for λ = 1.5418 Å (Cu Kα), from a GGA-PBE-relaxed structure.

Principal peaks in the range 2θ from 5° to 70°, low angle first:
2θ = 30.3°, I = 41; 2θ = 33.3°, I = 16; 2θ = 37.1°, I = 45; 2θ = 38.6°, I = 17; 2θ = 42.5°, I = 67; 2θ = 42.9°, I = 100; 2θ = 44.3°, I = 71; 2θ = 45.2°, I = 11; 2θ = 47.8°, I = 12; 2θ = 48.2°, I = 10; 2θ = 49.4°, I = 28; 2θ = 63.0°, I = 12

a = 6.4558 Å, b = 6.4558 Å, c = 6.4558 Å
α = 97.49°, β = 97.49°, γ = 137.66°
Fractional positions:
1 Sm 0.0000 0.0000 0.0000
2 Fe 0.0000 0.0000 0.5000
3 Fe 0.0000 0.3588 0.3588
4 Fe 0.0000 0.5000 0.0000
5 Fe 0.0000 0.6412 0.6412
6 Fe 0.2682 0.5000 0.7682
7 Fe 0.3588 0.0000 0.3588
8 Fe 0.5000 0.0000 0.0000
9 Fe 0.5000 0.2682 0.7682
10 Fe 0.5000 0.5000 0.5000
11 Fe 0.5000 0.7318 0.2318
12 Fe 0.6412 0.0000 0.6412
13 Fe 0.7318 0.5000 0.2318